For Na10B17C3, DFT lattice parameters and positions (PBE) gives the calculated X-ray diffraction stick pattern in this record (CuKα).

Structure:
a = 7.836 Å, b = 7.836 Å, c = 9.121 Å
α = 107.86°, β = 107.86°, γ = 38.24°
Element x y z (fractional)
Na: 0.049 0.049 0.247
Na: 0.151 0.150 0.751
Na: 0.248 0.252 0.249
Na: 0.349 0.351 0.751
Na: 0.452 0.447 0.248
Na: 0.553 0.548 0.752
Na: 0.649 0.651 0.249
Na: 0.748 0.752 0.751
Na: 0.850 0.849 0.249
Na: 0.951 0.951 0.753
B: 0.021 0.384 0.500
B: 0.062 0.736 0.000
B: 0.141 0.450 0.000
B: 0.184 0.816 0.500
B: 0.232 0.559 0.500
B: 0.264 0.938 0.000
B: 0.353 0.042 0.500
B: 0.355 0.645 0.000
B: 0.441 0.768 0.500
B: 0.550 0.859 0.000
B: 0.577 0.232 0.500
B: 0.616 0.979 0.500
B: 0.721 0.077 0.000
B: 0.768 0.423 0.500
B: 0.846 0.154 0.500
B: 0.923 0.279 0.000
B: 0.958 0.647 0.500
C: 0.466 0.134 0.000
C: 0.662 0.338 0.000
C: 0.866 0.534 0.000

Most intense lines, 2θ = 10–90°, low angle first:
2theta  intensity
34.97  20
40.93  100
41.88  24
55.67  11
62.72  18
75.84  12
77.66  8
78.30  17



For Na10B13C7, DFT lattice parameters and positions (PBE) gives the calculated X-ray diffraction stick pattern in this record (CuKα).

Structure:
a = 8.998 Å, b = 8.998 Å, c = 13.228 Å
α = 113.34°, β = 113.34°, γ = 18.16°
Element x y z (fractional)
Na: 0.000 0.000 0.000
Na: 0.000 0.000 0.498
Na: 0.199 0.199 0.901
Na: 0.200 0.200 0.399
Na: 0.399 0.399 0.300
Na: 0.399 0.399 0.801
Na: 0.599 0.599 0.199
Na: 0.601 0.601 0.698
Na: 0.798 0.798 0.600
Na: 0.799 0.799 0.101
B: 0.026 0.026 0.803
B: 0.160 0.160 0.571
B: 0.230 0.230 0.210
B: 0.233 0.233 0.715
B: 0.368 0.368 0.989
B: 0.433 0.433 0.616
B: 0.562 0.562 0.376
B: 0.566 0.566 0.884
B: 0.635 0.635 0.021
B: 0.768 0.768 0.288
B: 0.773 0.773 0.796
B: 0.838 0.838 0.427
B: 0.965 0.965 0.182
C: 0.031 0.031 0.313
C: 0.166 0.166 0.084
C: 0.369 0.369 0.488
C: 0.434 0.434 0.118
C: 0.629 0.629 0.507
C: 0.836 0.836 0.924
C: 0.965 0.965 0.678

Most intense lines, 2θ = 10–90°, low angle first:
2theta  intensity
36.28  18
41.55  51
42.22  100
42.43  38
64.29  17
77.48  13
80.10  17
80.86  11



For Na5B8C2, DFT lattice parameters and positions (PBE) gives the calculated X-ray diffraction stick pattern in this record (CuKα).

Structure:
a = 11.807 Å, b = 11.807 Å, c = 10.157 Å
α = 105.95°, β = 105.95°, γ = 13.70°
Element x y z (fractional)
Na: 0.000 0.000 0.000
Na: 0.101 0.101 0.703
Na: 0.201 0.201 0.400
Na: 0.299 0.299 0.098
Na: 0.398 0.398 0.799
Na: 0.500 0.500 0.500
Na: 0.602 0.602 0.201
Na: 0.701 0.701 0.902
Na: 0.799 0.799 0.600
Na: 0.899 0.899 0.297
B: 0.023 0.023 0.296
B: 0.086 0.086 0.421
B: 0.125 0.125 0.998
B: 0.191 0.191 0.132
B: 0.217 0.217 0.684
B: 0.372 0.372 0.496
B: 0.416 0.416 0.083
B: 0.480 0.480 0.210
B: 0.520 0.520 0.790
B: 0.584 0.584 0.917
B: 0.628 0.628 0.504
B: 0.783 0.783 0.316
B: 0.809 0.809 0.868
B: 0.875 0.875 0.002
B: 0.914 0.914 0.579
B: 0.977 0.977 0.704
C: 0.278 0.278 0.807
C: 0.313 0.313 0.379
C: 0.687 0.687 0.621
C: 0.722 0.722 0.193

Most intense lines, 2θ = 10–90°, low angle first:
2theta  intensity
33.91  14
36.13  16
39.91  24
40.02  24
41.73  38
41.90  100
56.36  9
62.13  17